Calculated powder diffraction line list
Compound: La8Ho5Th
Radiation: Cu Kα (weighted mean of Kα1 and Kα2)
Structure: a structure optimized by DFT (PBE)
Intensities are scaled so that the largest is 100.

Atomic structure:
```
14
Lattice="6.2012 -4.8437 0.0000 6.2012 4.8437 0.0000 -6.0928 0.0000 8.1762" Properties=species:S:1:pos:R:3 pbc="T T T"
La -0.5957 0.0000 1.5980
La 2.5958 2.8603 2.4008
La -2.4434 1.3082 7.6737
La 3.7138 2.8603 5.7754
La 0.5525 -1.5285 4.5635
La 8.7530 1.3082 0.5026
La 5.7571 -1.5285 3.6128
La 6.9053 0.0000 6.5782
Ho 0.4435 1.3239 6.0603
Ho 2.9080 -0.6692 2.1800
Ho 5.8660 1.3239 2.1159
Ho 3.4015 -0.6692 5.9963
Ho 3.1548 -3.7602 4.0881
Th 6.2012 -1.5274 0.0000
```

Main lines, low angle first (10 to 90 degrees two-theta):
d 3.136, I = 27; d 3.100, I = 87; d 3.068, I = 100; d 3.015, I = 46; d 2.997, I = 39; d 2.801, I = 86; d 2.779, I = 70; d 2.515, I = 54; d 1.654, I = 28; d 1.568, I = 26